Record 1
Starting from DFT lattice parameters and positions (PBE+U), the PXRD pattern of MgMn2F6 was computed for Cu Ka.
Intensities are scaled so that the largest is 1000.

The 10 most intense peaks (2θ = 15–90°), in order of rising 2θ:
d [Å]	I_rel
5.119	241
4.684	1000
4.142	261
2.840	233
2.605	227
2.483	395
1.920	313
1.901	253
1.807	143
1.590	178

Structure:
```
MgMn2F6
1.0
2.8397 1.6395 5.1191
-2.8397 1.6395 5.1191
0.0000 -3.2791 5.1191
Mg Mn F
1 2 6
Cartesian
0.0000 0.0000 0.0000
0.0000 0.0000 2.9812
0.0000 0.0000 12.3762
-0.9947 -2.1129 6.4268
-2.3272 -0.1950 8.9307
-1.3325 1.9179 6.4268
1.3325 -1.9179 8.9307
2.3272 0.1950 6.4268
0.9947 2.1129 8.9307
```

=====

Record 2
Starting from DFT lattice parameters and positions (PBE+U), the PXRD pattern of MgMn6O5F7 was computed for Cu Ka.
Intensities are scaled so that the largest is 1000.

The 10 most intense peaks (2θ = 15–90°), in order of rising 2θ:
d [Å]	I_rel
3.750	972
3.395	1000
2.660	254
2.649	491
2.597	256
2.574	302
1.870	236
1.821	243
1.779	302
1.730	213

Structure:
```
MgMn6O5F7
1.0
5.8861 0.0000 0.0000
1.2745 5.9345 0.0000
2.0495 2.1950 6.7698
Mg Mn O F
1 6 5 7
Cartesian
0.0000 0.0000 0.0000
2.7640 5.1482 6.6788
1.8485 3.8881 3.3131
4.5425 6.6236 4.4149
3.6747 5.1722 1.0522
5.6217 3.0728 5.5737
4.6299 1.7582 2.1939
1.9000 4.3394 1.2445
2.9879 2.2758 3.2155
5.2924 7.8385 5.9599
3.9440 0.4592 0.6911
7.4652 3.7659 5.3927
0.6846 1.3414 1.2736
3.5983 5.2873 3.0516
4.5577 4.8799 5.6095
4.8257 3.4513 0.9262
6.3148 5.9673 3.4326
5.7232 2.9545 3.5801
8.4772 6.8582 5.4521
```

=====

Record 3
Starting from DFT lattice parameters and positions (PBE+U), the PXRD pattern of MgMn6O5F7 was computed for Cu Ka.
Intensities are scaled so that the largest is 1000.

The 10 most intense peaks (2θ = 15–90°), in order of rising 2θ:
d [Å]	I_rel
4.015	696
3.803	362
3.030	635
2.844	558
2.795	1000
2.740	697
2.727	886
2.171	400
1.692	382
1.638	371

Structure:
```
MgMn6O5F7
1.0
5.5011 0.0000 0.0000
-1.8085 5.4237 0.0000
-0.6441 -1.8208 7.6862
Mg Mn O F
1 6 5 7
Cartesian
0.0000 0.0000 0.0000
-0.4161 2.4931 2.6883
0.9306 3.0902 0.2061
1.6921 0.3198 2.7235
0.0652 3.9010 5.6324
2.4553 4.2036 3.4236
3.4427 1.5406 5.3438
-1.1957 3.3447 4.2318
-0.8047 2.5682 6.7907
0.5575 1.5201 1.3394
0.8058 3.9520 1.9802
2.6987 -0.1867 4.4975
-0.2313 0.7329 3.8327
0.2270 -0.2052 6.4998
1.6166 2.5742 4.5005
2.1238 1.8588 7.0772
3.1500 -1.0310 7.0386
3.2780 1.6771 2.3018
3.7018 4.4203 1.7296
```

=====

Record 4
Starting from DFT lattice parameters and positions (PBE+U), the PXRD pattern of MgMn6O5F7 was computed for Cu Ka.
Intensities are scaled so that the largest is 1000.

The 10 most intense peaks (2θ = 15–90°), in order of rising 2θ:
d [Å]	I_rel
3.652	600
3.142	1000
2.777	217
2.737	521
2.721	622
2.270	299
1.826	192
1.717	249
1.665	209
1.467	228

Structure:
```
MgMn6O5F7
1.0
4.5973 -3.6516 0.0000
4.5973 3.6516 0.0000
-1.9027 0.0000 6.8282
Mg Mn O F
1 6 5 7
Cartesian
0.0000 0.0000 0.0000
1.1839 1.4973 5.7635
2.6467 1.5066 2.3232
4.6451 1.5066 4.5050
6.1079 1.4973 1.0647
4.5973 -0.9425 0.0000
3.6459 -2.4284 3.4141
3.6459 2.7430 3.4141
3.8817 1.6491 0.8877
3.4101 1.6491 5.9404
3.5251 -2.2905 1.1836
3.7667 -2.2905 5.6446
1.1699 1.4496 3.6695
1.5546 0.0352 1.2816
1.2409 -0.5970 5.4693
3.6459 -0.1029 3.4141
6.1219 1.4496 3.1587
6.0509 -0.5970 1.3589
5.7372 0.0352 5.5466
```

=====

Record 5
Starting from DFT lattice parameters and positions (PBE+U), the PXRD pattern of MgMn8O8F8 was computed for Cu Ka.
Intensities are scaled so that the largest is 1000.

The 10 most intense peaks (2θ = 15–90°), in order of rising 2θ:
d [Å]	I_rel
3.479	1000
3.408	936
2.675	333
2.631	299
2.596	538
2.284	240
1.838	200
1.804	208
1.766	283
1.557	210

Structure:
```
MgMn8O8F8
1.0
4.8000 0.0000 0.0000
0.1049 4.9459 0.0000
0.2010 0.4090 12.4585
Mg Mn O F
1 8 8 8
Cartesian
0.0000 0.0000 0.0000
0.2618 2.4816 9.2097
0.2366 2.4765 3.1839
2.3543 4.7488 1.7136
2.7068 0.4087 10.7356
2.6223 0.3748 4.6950
2.6999 0.3880 7.6775
4.5368 2.5202 0.0092
4.8041 2.8138 6.1775
0.7025 3.5169 1.4186
1.6449 1.1154 3.1489
1.8612 1.2430 9.2445
3.4188 4.3708 12.3819
3.4835 4.3354 6.1584
4.0510 1.8076 7.5919
4.0632 1.7854 4.6920
4.2288 1.7079 11.0410
1.0842 4.1586 11.0207
1.1129 3.7777 7.6576
1.1049 3.7604 4.7195
1.5371 1.4151 6.1675
1.4890 1.1945 0.0378
3.5179 3.9005 3.2020
3.6514 4.1067 9.3022
4.0064 1.1528 1.4803
```

=====

Record 6
Starting from DFT lattice parameters and positions (PBE+U), the PXRD pattern of MgMn6O5F7 was computed for Cu Ka.
Intensities are scaled so that the largest is 1000.

The 10 most intense peaks (2θ = 15–90°), in order of rising 2θ:
d [Å]	I_rel
3.766	943
3.461	1000
2.669	241
2.650	300
2.634	212
2.623	257
2.576	312
1.893	205
1.872	240
1.830	227

Structure:
```
MgMn6O5F7
1.0
5.9320 0.0000 0.0000
1.3360 5.9825 0.0000
2.2506 2.2623 6.7848
Mg Mn O F
1 6 5 7
Cartesian
0.0000 0.0000 0.0000
4.4073 6.2432 4.4591
3.6446 4.9260 1.3402
5.6004 3.0018 5.7301
4.8222 1.9369 2.5652
6.1693 2.9361 0.0038
7.5512 4.0240 3.5595
3.2699 5.0238 3.1945
5.4675 7.7149 6.2458
4.6289 3.3436 1.1787
5.8445 3.0571 3.8121
7.4653 3.8244 5.5834
1.4167 4.3255 1.3807
2.8633 2.1023 3.3829
4.4009 4.7636 5.9938
4.0025 0.4303 0.9217
6.3040 6.0869 3.5794
8.5858 6.9644 5.6357
6.5584 1.2631 1.3506
```

=====

Record 7
Starting from DFT lattice parameters and positions (PBE+U), the PXRD pattern of MgMn6O5F7 was computed for Cu Ka.
Intensities are scaled so that the largest is 1000.

The 10 most intense peaks (2θ = 15–90°), in order of rising 2θ:
d [Å]	I_rel
3.619	928
3.604	1000
2.686	248
2.673	314
2.621	204
2.578	238
1.867	228
1.841	345
1.802	209
1.782	207

Structure:
```
MgMn6O5F7
1.0
5.9895 0.0000 0.0000
1.7930 5.8693 0.0000
2.7020 2.3219 6.8745
Mg Mn O F
1 6 5 7
Cartesian
0.0000 0.0000 0.0000
1.0581 2.8794 0.0917
5.2597 6.1431 4.6223
4.0434 4.8230 1.2459
6.0933 2.4953 5.3035
5.3362 1.4797 2.3216
8.3134 4.3710 3.6427
3.6296 5.2090 5.0330
5.3291 6.3581 6.5966
6.9093 7.0529 4.2060
5.4503 1.8591 0.4388
8.1809 5.7179 2.0367
2.2557 2.4417 4.9047
4.6584 3.0533 6.7451
5.0673 6.0825 2.6411
4.1625 3.1990 2.5470
6.3862 4.3324 4.4830
5.9223 4.9563 0.1512
7.2216 2.9496 2.0726
```

=====

Record 8
Starting from DFT lattice parameters and positions (PBE+U), the PXRD pattern of MgMn8O8F8 was computed for Cu Ka.
Intensities are scaled so that the largest is 1000.

The 10 most intense peaks (2θ = 15–90°), in order of rising 2θ:
d [Å]	I_rel
3.436	1000
3.419	878
3.301	293
3.006	266
2.653	663
2.638	698
2.631	269
2.330	268
2.314	461
1.574	298

Structure:
```
MgMn8O8F8
1.0
4.8186 0.0000 0.0000
0.0254 4.8767 0.0000
0.0472 0.0862 12.5931
Mg Mn O F
1 8 8 8
Cartesian
0.0000 0.0000 0.0000
0.0714 2.1356 9.3580
0.0804 2.1246 3.2089
0.3820 2.4108 6.2571
1.6154 2.2845 0.0092
2.4283 0.0902 10.8274
2.4579 4.8897 7.7910
2.4843 0.0295 1.8083
2.8035 4.5736 4.8039
0.9503 1.2771 11.0897
0.9701 1.2430 1.6530
1.0878 1.3890 7.6797
1.8281 3.8058 6.2700
1.8610 4.1995 0.0538
3.1861 0.9051 9.3483
3.4407 0.7661 3.2758
4.2439 3.2100 4.7077
1.2511 1.1032 4.7019
1.5374 3.6925 9.4712
1.6548 3.4814 3.1101
3.4643 1.3423 0.1732
3.6881 1.0091 6.2461
3.9852 3.5024 7.8750
4.0619 3.8367 11.1576
4.1038 3.7159 1.4737
```